No. 1
# RbWF3
Simulated powder diffraction line list, Cu Kα (λ = 1.5418 Å). Input: a structure optimized by DFT (PBE+U).
Kinematic intensities with the Lorentz-polarization factor, no thermal factor.

a = 6.0408 Å, b = 6.0408 Å, c = 12.0893 Å
α = 90.00°, β = 90.00°, γ = 90.00°
Space group I4/mmm (No. 139)
Symmetry-distinct sites (fractional):
Rb (0.0000, 0.5000, 0.2500) [4 per cell]
W (0.0000, 0.0000, 0.0000) [2 per cell]
W (0.0000, 0.0000, 0.5000) [2 per cell]
F (0.0000, 0.0000, 0.1741) [4 per cell]
F (0.2484, 0.2484, 0.0000) [8 per cell]

Peak list (6 most intense, 10 to 90 degrees two-theta, by intensity)
2θ/deg, d_spacing, Rel. int.
25.53, 3.488, 100
29.57, 3.021, 56
50.07, 1.822, 52
42.31, 2.136, 41
67.58, 1.386, 23
14.65, 6.045, 21



No. 2
# Rb3WF8
Simulated powder diffraction line list, Cu Kα (λ = 1.5418 Å). Input: a structure optimized by DFT (PBE+U).
Kinematic intensities with the Lorentz-polarization factor, no thermal factor.

a = 6.0740 Å, b = 6.0740 Å, c = 6.0740 Å
α = 90.00°, β = 90.00°, γ = 90.00°
Space group Pm-3m (No. 221)
Symmetry-distinct sites (fractional):
Rb (0.0000, 0.0000, 0.5000) [3 per cell]
W (0.5000, 0.5000, 0.5000) [1 per cell]
F (0.3026, 0.3026, 0.3026) [8 per cell]

Peak list (6 most intense, 10 to 90 degrees two-theta, by intensity)
2θ/deg, d_spacing, Rel. int.
25.40, 3.507, 100
42.08, 2.147, 56
49.79, 1.831, 43
14.58, 6.074, 30
29.41, 3.037, 25
67.18, 1.393, 21



Copy entry 2 word for word.
# Rb3WF8
Simulated powder diffraction line list, Cu Kα (λ = 1.5418 Å). Input: a structure optimized by DFT (PBE+U).
Kinematic intensities with the Lorentz-polarization factor, no thermal factor.

a = 6.0740 Å, b = 6.0740 Å, c = 6.0740 Å
α = 90.00°, β = 90.00°, γ = 90.00°
Space group Pm-3m (No. 221)
Symmetry-distinct sites (fractional):
Rb (0.0000, 0.0000, 0.5000) [3 per cell]
W (0.5000, 0.5000, 0.5000) [1 per cell]
F (0.3026, 0.3026, 0.3026) [8 per cell]

Peak list (6 most intense, 10 to 90 degrees two-theta, by intensity)
2θ/deg, d_spacing, Rel. int.
25.40, 3.507, 100
42.08, 2.147, 56
49.79, 1.831, 43
14.58, 6.074, 30
29.41, 3.037, 25
67.18, 1.393, 21